The following is a simulated X-ray diffraction stick pattern of Tb3PrTe2. It was derived from a DFT-relaxed cell (PBE, Alexandria), using Cu Ka.
No peak broadening, texture or thermal motion is included.

Peak list (10 most intense, 10 to 90 degrees two-theta, sorted by position)
26.86°, I = 29
27.95°, I = 45
29.27°, I = 30
30.53°, I = 71
32.62°, I = 100
33.22°, I = 76
34.01°, I = 55
45.77°, I = 33
57.33°, I = 40
58.72°, I = 29

Crystal structure
a = 18.4290 Å, b = 3.9646 Å, c = 10.8319 Å
α = 90.00°, β = 113.08°, γ = 90.00°
Space group C2/m (No. 12)
Unique sites:
Tb 0.0499 0.0000 0.1552 [4 per cell]
Tb 0.1329 0.5000 0.9598 [4 per cell]
Tb 0.1919 0.5000 0.3656 [4 per cell]
Pr 0.1116 0.0000 0.6063 [4 per cell]
Te 0.0144 0.5000 0.3463 [4 per cell]
Te 0.2487 0.0000 0.1851 [4 per cell]



The following is a simulated X-ray diffraction stick pattern of TbPr6Te8. It was derived from a DFT-relaxed cell (PBE, Alexandria), using Cu Ka.
No peak broadening, texture or thermal motion is included.

Peak list (10 most intense, 10 to 90 degrees two-theta, sorted by position)
12.02°, I = 6
13.89°, I = 2
23.13°, I = 4
27.99°, I = 100
39.99°, I = 77
49.52°, I = 27
57.84°, I = 13
65.46°, I = 35
72.64°, I = 26
86.30°, I = 8

Crystal structure
a = 12.7533 Å, b = 12.7533 Å, c = 12.7533 Å
α = 90.00°, β = 90.00°, γ = 90.00°
Space group Fm-3m (No. 225)
Unique sites:
Tb 0.0000 0.0000 0.0000 [4 per cell]
Pr 0.0000 0.2500 0.2500 [24 per cell]
Te 0.0000 0.0000 0.2487 [24 per cell]
Te 0.2500 0.2500 0.2500 [8 per cell]



Please write out number 2 again, unchanged.
The following is a simulated X-ray diffraction stick pattern of TbPr6Te8. It was derived from a DFT-relaxed cell (PBE, Alexandria), using Cu Ka.
No peak broadening, texture or thermal motion is included.

Peak list (10 most intense, 10 to 90 degrees two-theta, sorted by position)
12.02°, I = 6
13.89°, I = 2
23.13°, I = 4
27.99°, I = 100
39.99°, I = 77
49.52°, I = 27
57.84°, I = 13
65.46°, I = 35
72.64°, I = 26
86.30°, I = 8

Crystal structure
a = 12.7533 Å, b = 12.7533 Å, c = 12.7533 Å
α = 90.00°, β = 90.00°, γ = 90.00°
Space group Fm-3m (No. 225)
Unique sites:
Tb 0.0000 0.0000 0.0000 [4 per cell]
Pr 0.0000 0.2500 0.2500 [24 per cell]
Te 0.0000 0.0000 0.2487 [24 per cell]
Te 0.2500 0.2500 0.2500 [8 per cell]